Structure and computed powder XRD pattern of YThCdC (a crystal structure in Alexandria, relaxed with GGA-PBE; λ = 1.5418 Å (Cu Kα)).

The 10 most intense peaks (10 to 90 degrees two-theta), sorted by position:
- 10.5 deg, I 30, hkl 0 0 3
- 28.7 deg, I 20, hkl 1 0 1
- 29.4 deg, I 36, hkl 0 1 2
- 31.9 deg, I 100, hkl 0 0 9
- 33.7 deg, I 59, hkl 0 1 5
- 38.1 deg, I 16, hkl 1 0 7
- 50.5 deg, I 29, hkl 1 1 0
- 55.8 deg, I 17, hkl 1 0 13
- 61.0 deg, I 41, hkl 1 1 9
- 88.3 deg, I 14, hkl 1 1 18

Cell and atoms:
Unit cell a=3.6159 b=3.6159 c=25.2056 alpha=90.00 beta=90.00 gamma=120.00
Space group R3m (No. 160, hexagonal axes)
Asymmetric unit:
Y 0.0000 0.0000 0.0000 [3 per cell]
Th 0.0000 0.0000 0.2220 [3 per cell]
Cd 0.0000 0.0000 0.7728 [3 per cell]
C 0.0000 0.0000 0.6120 [3 per cell]

---

Structure and computed powder XRD pattern of Ti4Cd2C (a crystal structure in Alexandria, relaxed with GGA-PBE; λ = 1.5418 Å (Cu Kα)).

The 10 most intense peaks (10 to 90 degrees two-theta), sorted by position:
- 22.0 deg, I 19, hkl 1 0 1
- 25.5 deg, I 19, hkl 0 0 4
- 28.6 deg, I 30, hkl 1 0 3
- 30.0 deg, I 48, hkl 1 1 0
- 32.7 deg, I 36, hkl 1 1 2
- 38.7 deg, I 25, hkl 0 0 6
- 39.8 deg, I 100, hkl 1 1 4
- 42.9 deg, I 55, hkl 2 0 0
- 59.2 deg, I 24, hkl 2 0 6
- 76.5 deg, I 26, hkl 3 1 4

Cell and atoms:
Unit cell a=4.2151 b=4.2151 c=13.9484 alpha=90.00 beta=90.00 gamma=90.00
Space group I4/mmm (No. 139)
Asymmetric unit:
Ti 0.0000 0.0000 0.1505 [4 per cell]
Ti 0.0000 0.5000 0.0000 [4 per cell]
Cd 0.0000 0.0000 0.3567 [4 per cell]
C 0.0000 0.0000 0.0000 [2 per cell]